Entry 1:
Structure and computed powder diffractogram of DyMg2Ti3S8 (a cell relaxed with GGA-PBE; Cu Kα).
Peak positions follow from Bragg's law for the DFT cell and can differ from measured ones.

Largest 8 diffraction maxima, most intense first, 15 to 90 degrees two-theta:
d/Å, I/Imax
2.642, 100
3.178, 79
1.843, 47
1.894, 47
3.243, 35
3.686, 25
5.283, 25
2.032, 24

abc: 7.374 7.374 7.585
angles: 119.13 119.13 59.96
Element x y z (fractional)
Dy 0.000 0.000 0.000
Mg 0.373 0.373 0.118
Mg 0.627 0.627 0.882
Ti 0.000 0.000 0.500
Ti 0.000 0.500 0.500
Ti 0.500 0.000 0.500
S 0.226 0.746 0.719
S 0.241 0.241 0.722
S 0.254 0.254 0.281
S 0.254 0.774 0.281
S 0.746 0.226 0.719
S 0.746 0.746 0.719
S 0.759 0.759 0.278
S 0.774 0.254 0.281

Entry 2:
Structure and computed powder diffractogram of Sm3Cu4Ge4 (a cell relaxed with GGA-PBE; Cu Kα).
Peak positions follow from Bragg's law for the DFT cell and can differ from measured ones.

Largest 8 diffraction maxima, most intense first, 15 to 90 degrees two-theta:
d/Å, I/Imax
2.536, 100
2.598, 90
2.149, 39
2.021, 29
2.618, 27
2.370, 22
1.472, 20
1.204, 14

abc: 8.149 8.149 8.149
angles: 149.42 131.44 58.48
Element x y z (fractional)
Sm 0.000 0.000 0.000
Sm 0.369 0.869 0.500
Sm 0.631 0.131 0.500
Cu 0.020 0.332 0.689
Cu 0.357 0.668 0.689
Cu 0.643 0.332 0.311
Cu 0.980 0.668 0.311
Ge 0.215 0.215 0.000
Ge 0.310 0.500 0.810
Ge 0.690 0.500 0.190
Ge 0.785 0.785 0.000

Entry 3:
Structure and computed powder diffractogram of Cs3NiCl5 (a cell relaxed with GGA-PBE; Cu Kα).
Peak positions follow from Bragg's law for the DFT cell and can differ from measured ones.

Largest 8 diffraction maxima, most intense first, 15 to 90 degrees two-theta:
d/Å, I/Imax
3.199, 100
3.949, 77
2.930, 47
3.997, 34
3.276, 31
3.772, 31
2.212, 29
2.474, 24

abc: 9.993 9.993 9.993
angles: 124.75 124.75 81.96
Element x y z (fractional)
Cs 0.168 0.668 0.835
Cs 0.250 0.250 0.000
Cs 0.332 0.168 0.500
Cs 0.668 0.832 0.500
Cs 0.750 0.750 0.000
Cs 0.832 0.332 0.165
Ni 0.250 0.750 0.500
Ni 0.750 0.250 0.500
Cl 0.000 0.000 0.000
Cl 0.023 0.787 0.500
Cl 0.213 0.713 0.237
Cl 0.287 0.523 0.500
Cl 0.477 0.977 0.763
Cl 0.500 0.500 0.000
Cl 0.523 0.023 0.237
Cl 0.713 0.477 0.500
Cl 0.787 0.287 0.763
Cl 0.977 0.213 0.500

Entry 4:
Structure and computed powder diffractogram of BaAu2S4O16 (a cell relaxed with GGA-PBE; Cu Kα).
Peak positions follow from Bragg's law for the DFT cell and can differ from measured ones.

Largest 8 diffraction maxima, most intense first, 15 to 90 degrees two-theta:
d/Å, I/Imax
3.159, 100
3.242, 86
3.933, 77
4.816, 63
4.552, 43
2.040, 35
2.994, 30
2.064, 26

abc: 6.725 6.725 9.296
angles: 105.35 105.35 86.76
Element x y z (fractional)
Ba 0.000 0.000 0.000
Au 0.000 0.000 0.500
Au 0.500 0.500 0.500
S 0.087 0.588 0.277
S 0.412 0.913 0.723
S 0.588 0.087 0.277
S 0.913 0.412 0.723
O 0.009 0.313 0.587
O 0.021 0.691 0.154
O 0.037 0.370 0.239
O 0.309 0.979 0.846
O 0.313 0.009 0.587
O 0.322 0.627 0.334
O 0.370 0.037 0.239
O 0.373 0.678 0.666
O 0.627 0.322 0.334
O 0.630 0.963 0.761
O 0.678 0.373 0.666
O 0.687 0.991 0.413
O 0.691 0.021 0.154
O 0.963 0.630 0.761
O 0.979 0.309 0.846
O 0.991 0.687 0.413

Entry 5:
Structure and computed powder diffractogram of EuB2C2 (a cell relaxed with GGA-PBE; Cu Kα).
Peak positions follow from Bragg's law for the DFT cell and can differ from measured ones.

Largest 8 diffraction maxima, most intense first, 15 to 90 degrees two-theta:
d/Å, I/Imax
2.735, 100
3.819, 80
2.223, 54
2.700, 35
3.918, 26
1.708, 26
1.566, 25
1.716, 20

abc: 3.819 3.819 7.837
angles: 90.00 90.00 90.00
Element x y z (fractional)
Eu 0.000 0.000 0.250
Eu 0.000 0.000 0.750
B 0.219 0.500 0.000
B 0.500 0.219 0.500
B 0.500 0.781 0.500
B 0.781 0.500 0.000
C 0.185 0.500 0.500
C 0.500 0.185 0.000
C 0.500 0.815 0.000
C 0.815 0.500 0.500

Entry 6:
Structure and computed powder diffractogram of CdP2 (a cell relaxed with GGA-PBE; Cu Kα).
Peak positions follow from Bragg's law for the DFT cell and can differ from measured ones.

Largest 8 diffraction maxima, most intense first, 15 to 90 degrees two-theta:
d/Å, I/Imax
3.545, 100
3.623, 62
3.697, 38
1.964, 28
2.361, 25
1.931, 21
2.851, 21
3.022, 19

abc: 10.015 5.482 5.248
angles: 90.00 90.00 90.00
Element x y z (fractional)
Cd 0.152 0.101 0.000
Cd 0.348 0.601 0.500
Cd 0.652 0.399 0.000
Cd 0.848 0.899 0.500
P 0.007 0.725 0.850
P 0.119 0.440 0.654
P 0.381 0.940 0.154
P 0.493 0.225 0.350
P 0.507 0.775 0.850
P 0.619 0.060 0.654
P 0.881 0.560 0.154
P 0.993 0.275 0.350

Q: Number 5 is which compound?
A: EuB2C2